Entry 1:
Computed powder diffractogram of AcBi6O8 for Cu Kα, 1.54184 Å, from a cell relaxed with PBE.
Lines closer than 0.1° are merged.

```
AcBi6O8
1.0
3.985 2.301 7.022
-3.985 2.301 7.022
0.000 -4.601 7.022
Ac Bi O
1 6 8
direct
0.000 0.000 0.000
0.106 0.558 0.558
0.442 0.442 0.894
0.442 0.894 0.442
0.558 0.106 0.558
0.558 0.558 0.106
0.894 0.442 0.442
0.217 0.217 0.735
0.217 0.735 0.217
0.265 0.783 0.783
0.434 0.434 0.434
0.566 0.566 0.566
0.735 0.217 0.217
0.783 0.265 0.783
0.783 0.783 0.265
```

Most intense lines, 15° ≤ 2θ ≤ 90°, low angle first:
- 2θ 24.76, d = 3.596 Å, rel. 34
- 2θ 25.37, d = 3.511 Å, rel. 25
- 2θ 26.17, d = 3.405 Å, rel. 100
- 2θ 27.19, d = 3.279 Å, rel. 44
- 2θ 32.46, d = 2.759 Å, rel. 16
- 2θ 34.03, d = 2.634 Å, rel. 22
- 2θ 38.51, d = 2.338 Å, rel. 20
- 2θ 39.74, d = 2.268 Å, rel. 16
- 2θ 45.53, d = 1.992 Å, rel. 32
- 2θ 52.83, d = 1.733 Å, rel. 15

Entry 2:
Computed powder diffractogram of CaNb4O14 for Cu Kα, 1.54184 Å, from a cell relaxed with PBE.
Lines closer than 0.1° are merged.

```
CaNb4O14
1.0
3.740 2.159 6.230
-3.740 2.159 6.230
0.000 -4.318 6.230
Ca Nb O
1 4 14
direct
0.000 0.000 0.000
0.000 0.500 0.500
0.500 0.000 0.500
0.500 0.500 0.000
0.500 0.500 0.500
0.135 0.135 0.135
0.183 0.183 0.578
0.183 0.578 0.183
0.190 0.559 0.559
0.422 0.817 0.817
0.441 0.441 0.810
0.441 0.810 0.441
0.559 0.190 0.559
0.559 0.559 0.190
0.578 0.183 0.183
0.810 0.441 0.441
0.817 0.422 0.817
0.817 0.817 0.422
0.865 0.865 0.865
```

Most intense lines, 15° ≤ 2θ ≤ 90°, low angle first:
- 2θ 27.82, d = 3.206 Å, rel. 47
- 2θ 27.96, d = 3.191 Å, rel. 43
- 2θ 28.66, d = 3.115 Å, rel. 38
- 2θ 29.18, d = 3.060 Å, rel. 100
- 2θ 33.67, d = 2.662 Å, rel. 25
- 2θ 48.01, d = 1.895 Å, rel. 35
- 2θ 48.70, d = 1.870 Å, rel. 36
- 2θ 51.01, d = 1.790 Å, rel. 18
- 2θ 56.87, d = 1.619 Å, rel. 20
- 2θ 57.48, d = 1.603 Å, rel. 32

Entry 3:
Computed powder diffractogram of Rb3PuSe3 for Cu Kα, 1.54184 Å, from a cell relaxed with PBE.
Lines closer than 0.1° are merged.

```
Rb3PuSe3
1.0
4.789 -7.363 0.000
4.789 7.363 0.000
-1.360 0.000 8.450
Rb Pu Se
6 2 6
direct
0.179 0.821 0.000
0.245 0.755 0.500
0.381 0.381 0.134
0.619 0.619 0.866
0.755 0.245 0.500
0.821 0.179 0.000
0.186 0.186 0.637
0.814 0.814 0.363
0.093 0.093 0.305
0.165 0.467 0.777
0.467 0.165 0.777
0.533 0.835 0.223
0.835 0.533 0.223
0.907 0.907 0.695
```

Most intense lines, 15° ≤ 2θ ≤ 90°, low angle first:
- 2θ 22.33, d = 3.982 Å, rel. 56
- 2θ 22.47, d = 3.957 Å, rel. 42
- 2θ 23.65, d = 3.762 Å, rel. 46
- 2θ 24.17, d = 3.682 Å, rel. 39
- 2θ 25.98, d = 3.429 Å, rel. 83
- 2θ 29.26, d = 3.052 Å, rel. 84
- 2θ 30.53, d = 2.928 Å, rel. 100
- 2θ 33.80, d = 2.652 Å, rel. 49
- 2θ 36.59, d = 2.456 Å, rel. 45
- 2θ 42.51, d = 2.126 Å, rel. 38

Entry 4:
Computed powder diffractogram of LaZnI2 for Cu Kα, 1.54184 Å, from a cell relaxed with PBE.
Lines closer than 0.1° are merged.

```
LaZnI2
1.0
0.000 3.973 3.973
3.973 0.000 3.973
3.973 3.973 0.000
La Zn I
1 1 2
direct
0.000 0.000 0.000
0.500 0.500 0.500
0.250 0.250 0.250
0.750 0.750 0.750
```

Most intense lines, 15° ≤ 2θ ≤ 90°, low angle first:
- 2θ 19.35, d = 4.587 Å, rel. 5
- 2θ 22.38, d = 3.973 Å, rel. 1
- 2θ 31.86, d = 2.809 Å, rel. 100
- 2θ 37.54, d = 2.396 Å, rel. 3
- 2θ 45.67, d = 1.986 Å, rel. 18
- 2θ 50.04, d = 1.823 Å, rel. 1
- 2θ 56.76, d = 1.622 Å, rel. 38
- 2θ 66.58, d = 1.405 Å, rel. 12
- 2θ 75.71, d = 1.256 Å, rel. 16
- 2θ 84.48, d = 1.147 Å, rel. 4

Entry 5:
Computed powder diffractogram of Cs2UMnS6 for Cu Kα, 1.54184 Å, from a cell relaxed with PBE.
Lines closer than 0.1° are merged.

```
Cs2UMnS6
1.0
0.000 5.008 5.008
5.008 0.000 5.008
5.008 5.008 0.000
Cs U Mn S
2 1 1 6
direct
0.250 0.250 0.250
0.750 0.750 0.750
0.000 0.000 0.000
0.500 0.500 0.500
0.256 0.256 0.744
0.256 0.744 0.256
0.256 0.744 0.744
0.744 0.256 0.256
0.744 0.256 0.744
0.744 0.744 0.256
```

Most intense lines, 15° ≤ 2θ ≤ 90°, low angle first:
- 2θ 15.32, d = 5.783 Å, rel. 23
- 2θ 25.15, d = 3.541 Å, rel. 100
- 2θ 29.58, d = 3.020 Å, rel. 17
- 2θ 35.86, d = 2.504 Å, rel. 48
- 2θ 44.30, d = 2.045 Å, rel. 45
- 2θ 51.62, d = 1.771 Å, rel. 33
- 2θ 58.26, d = 1.584 Å, rel. 20
- 2θ 70.33, d = 1.339 Å, rel. 24
- 2θ 81.55, d = 1.180 Å, rel. 12
- 2θ 87.00, d = 1.120 Å, rel. 15

Entry 6:
Computed powder diffractogram of PuMgHgAu for Cu Kα, 1.54184 Å, from a cell relaxed with PBE.
Lines closer than 0.1° are merged.

```
PuMgHgAu
1.0
3.342 0.000 0.000
0.000 3.342 0.000
0.000 0.000 7.864
Pu Mg Hg Au
1 1 1 1
direct
0.000 0.000 0.000
0.000 0.000 0.534
0.500 0.500 0.293
0.500 0.500 0.733
```

Most intense lines, 15° ≤ 2θ ≤ 90°, low angle first:
- 2θ 29.03, d = 3.076 Å, rel. 33
- 2θ 34.21, d = 2.621 Å, rel. 12
- 2θ 35.24, d = 2.547 Å, rel. 100
- 2θ 38.07, d = 2.363 Å, rel. 45
- 2θ 46.17, d = 1.966 Å, rel. 9
- 2θ 52.10, d = 1.755 Å, rel. 15
- 2θ 54.94, d = 1.671 Å, rel. 16
- 2θ 61.33, d = 1.511 Å, rel. 15
- 2θ 65.60, d = 1.423 Å, rel. 12
- 2θ 66.97, d = 1.397 Å, rel. 32

Repeat the fourth record exactly.
Computed powder diffractogram of LaZnI2 for Cu Kα, 1.54184 Å, from a cell relaxed with PBE.
Lines closer than 0.1° are merged.

```
LaZnI2
1.0
0.000 3.973 3.973
3.973 0.000 3.973
3.973 3.973 0.000
La Zn I
1 1 2
direct
0.000 0.000 0.000
0.500 0.500 0.500
0.250 0.250 0.250
0.750 0.750 0.750
```

Most intense lines, 15° ≤ 2θ ≤ 90°, low angle first:
- 2θ 19.35, d = 4.587 Å, rel. 5
- 2θ 22.38, d = 3.973 Å, rel. 1
- 2θ 31.86, d = 2.809 Å, rel. 100
- 2θ 37.54, d = 2.396 Å, rel. 3
- 2θ 45.67, d = 1.986 Å, rel. 18
- 2θ 50.04, d = 1.823 Å, rel. 1
- 2θ 56.76, d = 1.622 Å, rel. 38
- 2θ 66.58, d = 1.405 Å, rel. 12
- 2θ 75.71, d = 1.256 Å, rel. 16
- 2θ 84.48, d = 1.147 Å, rel. 4

Q: Which formula does entry 2 have?
A: CaNb4O14